Theoretical PXRD pattern of Ca2Gd2MnNiO8 for λ = 1.5418 Å (Cu Kα), from a DFT-relaxed cell (PBE+U, Alexandria).

Atomic structure:
```
data_Ca2Gd2MnNiO8
_cell_length_a 11.725
_cell_length_b 5.307
_cell_length_c 5.581
_cell_angle_alpha 90.00
_cell_angle_beta 90.55
_cell_angle_gamma 90.00
_symmetry_space_group_name_H-M 'C 1 m 1'
_symmetry_Int_Tables_number 8
loop_
_symmetry_equiv_pos_as_xyz
'x,y,z'
'x,-y,z'
'x+1/2,y+1/2,z'
'x+1/2,-y+1/2,z'
loop_
_atom_site_label
_atom_site_type_symbol
_atom_site_fract_x
_atom_site_fract_y
_atom_site_fract_z
Ca1 Ca 0.000 0.000 0.000
Ca2 Ca 0.209 0.000 0.511
Gd1 Gd 0.216 0.500 0.050
Gd2 Gd 0.493 0.000 0.542
Mn1 Mn 0.353 0.000 0.026
Ni1 Ni 0.355 0.500 0.527
O1 O 0.026 0.500 0.954
O2 O 0.027 0.000 0.591
O3 O 0.174 0.500 0.447
O4 O 0.192 0.000 0.088
O5 O 0.331 0.246 0.787
O6 O 0.378 0.246 0.264
```

Peak list (12 most intense, 10° ≤ 2θ ≤ 80°, sorted by position)
h k l	d [Å]	Position (°2θ)	I/Imax
1 1 0	4.835	18.4	68
2 0 -1	4.062	21.9	42
2 0 1	4.023	22.1	42
1 1 1	3.653	24.4	24
0 0 2	2.790	32.1	73
3 1 -1	2.750	32.6	100
3 1 1	2.732	32.8	95
0 2 0	2.653	33.8	73
4 0 2	2.009	45.1	29
4 2 0	1.967	46.1	23
0 2 2	1.923	47.3	75
3 1 -3	1.607	57.3	29